Structure and calculated powder XRD pattern of La3Sm5Tm3 (a crystal structure in Alexandria, relaxed with PBE; Cu Ka).

Structural model:
```
data_La3Sm5Tm3
_symmetry_space_group_name_H-M 'P -6 2 m'
_symmetry_Int_Tables_number 189
_symmetry_space_group_name_Hall 'P -6 -2'
_cell_length_a 11.3821
_cell_length_b 11.3821
_cell_length_c 3.4519
_cell_angle_alpha 90.00
_cell_angle_beta 90.00
_cell_angle_gamma 120.00
loop_
_atom_site_label
_atom_site_fract_x
_atom_site_fract_y
_atom_site_fract_z
La1 0.0000 0.4018 0.0000
Sm1 0.0000 0.6647 0.5000
Sm2 0.3333 0.6667 0.5000
Tm1 0.0000 0.1576 0.5000
```

Top 8 peaks for 10 to 90 degrees two-theta, by angle:
h k l, Position (°2θ), d_spacing, I/Imax
3 0 0, 27.14, 3.286, 84.8
1 1 1, 30.28, 2.951, 88.3
2 2 0, 31.44, 2.846, 41.3
3 1 0, 32.76, 2.734, 100.0
2 1 1, 35.45, 2.532, 72.6
2 2 1, 41.11, 2.196, 88.6
3 2 1, 48.10, 1.892, 47.2
6 0 1, 62.62, 1.483, 44.8

Structure and calculated powder XRD pattern of Ba4Hg13Bi4 (a crystal structure in Alexandria, relaxed with PBE; Cu Ka).

Structural model:
```
data_Ba4Hg13Bi4
_symmetry_space_group_name_H-M 'P 1'
_symmetry_Int_Tables_number 1
_cell_length_a 5.169
_cell_length_b 11.161
_cell_length_c 12.307
_cell_angle_alpha 109.18
_cell_angle_beta 90.07
_cell_angle_gamma 90.03
loop_
_symmetry_equiv_pos_as_xyz
'x,y,z'
loop_
_atom_site_label
_atom_site_fract_x
_atom_site_fract_y
_atom_site_fract_z
Ba1 0.000 0.000 0.000
Ba2 0.000 0.480 0.282
Ba3 0.001 0.875 0.578
Ba4 0.500 0.447 0.791
Hg1 0.000 0.219 0.706
Hg2 0.000 0.310 0.970
Hg3 0.000 0.446 0.580
Hg4 0.001 0.164 0.421
Hg5 0.001 0.688 0.781
Hg6 0.001 0.874 0.254
Hg7 0.500 0.249 0.089
Hg8 0.500 0.534 0.113
Hg9 0.500 0.786 0.011
Hg10 0.501 0.026 0.218
Hg11 0.501 0.074 0.519
Hg12 0.501 0.301 0.371
Hg13 0.501 0.812 0.766
Bi1 0.000 0.620 0.013
Bi2 0.499 0.089 0.805
Bi3 0.500 0.606 0.520
Bi4 0.501 0.759 0.349
```

Top 8 peaks for 10 to 90 degrees two-theta, by angle:
h k l, Position (°2θ), d_spacing, I/Imax
1 0 3, 28.81, 3.099, 40.0
1 2 -3, 29.33, 3.045, 100.0
1 -3 1, 29.59, 3.019, 55.7
0 2 3, 32.89, 2.724, 40.2
1 -1 4, 33.92, 2.643, 30.2
0 1 4, 34.61, 2.591, 30.6
2 0 0, 34.71, 2.584, 91.0
1 4 -1, 36.77, 2.444, 34.0